Diffraction record for TlAg3Au6. The X-ray diffraction stick pattern is simulated, not measured: it uses a GGA-PBE-relaxed structure and Cu Ka.
No peak broadening, texture or thermal motion is included.

Largest 12 diffraction maxima, in order of falling intensity, 2θ from 15° to 90°:
| index | two_theta | intensity |
| --- | --- | --- |
| 1 1 3 | 36.62 | 100 |
| 3 1 -1 | 37.08 | 99 |
| 0 2 0 | 43.03 | 65 |
| 2 0 -4 | 42.36 | 33 |
| 5 1 -5 | 74.34 | 23 |
| 2 2 -4 | 61.97 | 21 |
| 4 2 2 | 62.49 | 21 |
| 3 3 -1 | 74.94 | 13 |
| 1 3 3 | 74.65 | 13 |
| 7 1 1 | 75.26 | 12 |
| 1 1 -7 | 73.42 | 12 |
| 6 2 -2 | 78.99 | 11 |

Cell and atoms:
```
TlAg3Au6
1.0
9.3577 0.0000 0.0000
0.0000 4.2047 0.0000
-0.0109 0.0000 9.5844
Tl Ag Au
2 6 12
Cartesian
1.0574 1.0512 0.5610 Tl
8.2894 3.1535 9.0235 Tl
0.9540 3.1535 5.2810 Ag
2.8231 1.0512 6.2457 Ag
4.6796 1.0512 2.4350 Ag
4.6672 3.1535 7.1495 Ag
6.5237 3.1535 3.3388 Ag
8.3928 1.0512 4.3034 Ag
0.0018 1.0512 7.0337 Au
1.9064 1.0512 3.4871 Au
1.9330 3.1535 8.0491 Au
2.8815 3.1535 1.5716 Au
3.7643 3.1535 4.3574 Au
3.8038 1.0512 9.0760 Au
5.5430 3.1535 0.5085 Au
5.5825 1.0512 5.2270 Au
6.4653 1.0512 8.0128 Au
7.4139 1.0512 1.5354 Au
7.4405 3.1535 6.0973 Au
9.3451 3.1535 2.5507 Au
```